Starting from a GGA-PBE-relaxed structure, the powder XRD pattern of Sn4Sb3As was computed for CuKα.

The 10 most intense peaks (10° ≤ 2θ ≤ 80°), most intense first:
- (1 1 0), 35.99°, d 2.496, I = 100
- (1 0 4), 22.69°, d 3.919, I = 99
- (1 1 12), 46.75°, d 1.943, I = 55
- (0 0 12), 28.83°, d 3.097, I = 34
- (0 1 14), 39.86°, d 2.262, I = 32
- (1 0 10), 31.76°, d 2.818, I = 27
- (0 1 8), 28.20°, d 3.164, I = 20
- (0 2 4), 42.97°, d 2.105, I = 19
- (3 0 0), 64.70°, d 1.441, I = 18
- (2 1 4), 57.26°, d 1.609, I = 16

Crystal structure
a b c (Å): 4.9911 4.9911 37.1604
angles (deg): 90.00 90.00 120.00
Space group R3m (No. 160, hexagonal axes)
Inequivalent atoms, fractional coordinates:
Sn 0.0000 0.0000 0.0000 [3 per cell]
Sn 0.0000 0.0000 0.2296 [3 per cell]
Sn 0.0000 0.0000 0.4983 [3 per cell]
Sn 0.0000 0.0000 0.7296 [3 per cell]
Sb 0.0000 0.0000 0.4188 [3 per cell]
Sb 0.0000 0.0000 0.6509 [3 per cell]
Sb 0.0000 0.0000 0.9195 [3 per cell]
As 0.0000 0.0000 0.1577 [3 per cell]

Starting from a GGA-PBE-relaxed structure, the powder XRD pattern of Nd5Sb4I was computed for CuKα.

The 10 most intense peaks (10° ≤ 2θ ≤ 80°), most intense first:
- (3 1 2), 39.77°, d 2.267, I = 100
- (3 1 0), 27.79°, d 3.210, I = 88
- (0 0 2), 27.92°, d 3.196, I = 44
- (2 4 2), 49.24°, d 1.851, I = 35
- (6 2 2), 64.99°, d 1.435, I = 29
- (5 5 2), 72.13°, d 1.310, I = 21
- (3 1 4), 65.22°, d 1.431, I = 15
- (2 4 4), 72.31°, d 1.307, I = 11
- (6 2 0), 57.41°, d 1.605, I = 11
- (0 0 4), 57.69°, d 1.598, I = 6

Crystal structure
a b c (Å): 10.1510 10.1510 6.3921
angles (deg): 90.00 90.00 90.00
Space group I4/m (No. 87)
Inequivalent atoms, fractional coordinates:
Nd 0.0000 0.0000 0.0000 [2 per cell]
Nd 0.1044 0.6846 0.5000 [8 per cell]
Sb 0.1046 0.7035 0.0000 [8 per cell]
I 0.0000 0.0000 0.5000 [2 per cell]

Starting from a GGA-PBE-relaxed structure, the powder XRD pattern of CsIn3Hg3 was computed for CuKα.

The 10 most intense peaks (10° ≤ 2θ ≤ 80°), most intense first:
- (2 1 1), 26.76°, d 3.331, I = 100
- (3 2 1), 41.40°, d 2.181, I = 62
- (2 2 2), 38.21°, d 2.356, I = 44
- (2 0 0), 21.78°, d 4.080, I = 41
- (4 0 0), 44.41°, d 2.040, I = 38
- (1 1 0), 15.36°, d 5.770, I = 31
- (4 4 0), 64.61°, d 1.443, I = 25
- (6 1 1), 71.24°, d 1.324, I = 19
- (5 2 1), 62.32°, d 1.490, I = 19
- (4 2 0), 49.98°, d 1.825, I = 18

Crystal structure
a b c (Å): 8.1602 8.1602 8.1602
angles (deg): 90.00 90.00 90.00
Space group Pm-3n (No. 223)
Inequivalent atoms, fractional coordinates:
Cs 0.0000 0.0000 0.0000 [2 per cell]
In 0.0000 0.2500 0.5000 [6 per cell]
Hg 0.0000 0.5000 0.2500 [6 per cell]

Please write out number 1 again, unchanged.
Starting from a GGA-PBE-relaxed structure, the powder XRD pattern of Sn4Sb3As was computed for CuKα.

The 10 most intense peaks (10° ≤ 2θ ≤ 80°), most intense first:
- (1 1 0), 35.99°, d 2.496, I = 100
- (1 0 4), 22.69°, d 3.919, I = 99
- (1 1 12), 46.75°, d 1.943, I = 55
- (0 0 12), 28.83°, d 3.097, I = 34
- (0 1 14), 39.86°, d 2.262, I = 32
- (1 0 10), 31.76°, d 2.818, I = 27
- (0 1 8), 28.20°, d 3.164, I = 20
- (0 2 4), 42.97°, d 2.105, I = 19
- (3 0 0), 64.70°, d 1.441, I = 18
- (2 1 4), 57.26°, d 1.609, I = 16

Crystal structure
a b c (Å): 4.9911 4.9911 37.1604
angles (deg): 90.00 90.00 120.00
Space group R3m (No. 160, hexagonal axes)
Inequivalent atoms, fractional coordinates:
Sn 0.0000 0.0000 0.0000 [3 per cell]
Sn 0.0000 0.0000 0.2296 [3 per cell]
Sn 0.0000 0.0000 0.4983 [3 per cell]
Sn 0.0000 0.0000 0.7296 [3 per cell]
Sb 0.0000 0.0000 0.4188 [3 per cell]
Sb 0.0000 0.0000 0.6509 [3 per cell]
Sb 0.0000 0.0000 0.9195 [3 per cell]
As 0.0000 0.0000 0.1577 [3 per cell]